(1)
Structure and computed powder diffraction line list of MgMn6O7F5 (a cell relaxed with GGA+U; Cu Kα (weighted mean of Kα1 and Kα2)).

Most intense lines, 10 to 90 degrees two-theta, low angle first:
- 22.6 deg, d 3.928, rel. 100.0
- 27.8 deg, d 3.209, rel. 79.4
- 34.2 deg, d 2.623, rel. 55.5
- 34.3 deg, d 2.612, rel. 20.1
- 34.4 deg, d 2.604, rel. 20.0
- 40.6 deg, d 2.221, rel. 20.6
- 53.2 deg, d 1.721, rel. 19.2
- 53.7 deg, d 1.708, rel. 31.4

Crystal structure
```
MgMn6O7F5
1.0
5.877 0.000 0.000
-2.465 5.439 0.000
-1.076 -3.015 7.281
Mg Mn O F
1 6 7 5
direct
0.000 0.000 0.000 Mg
0.000 0.501 0.000 Mn
0.025 0.035 0.503 Mn
0.292 0.570 0.377 Mn
0.360 0.976 0.807 Mn
0.641 0.026 0.196 Mn
0.686 0.430 0.625 Mn
0.040 0.699 0.832 O
0.230 0.857 0.549 O
0.316 0.341 0.507 O
0.347 0.714 0.183 O
0.652 0.290 0.827 O
0.789 0.178 0.453 O
0.957 0.300 0.165 O
0.082 0.174 0.818 F
0.397 0.158 0.086 F
0.601 0.840 0.916 F
0.709 0.712 0.493 F
0.918 0.833 0.185 F
```

---

(2)
Structure and computed powder diffraction line list of Ba6Y2Co4O15 (a cell relaxed with GGA+U; Cu Kα (weighted mean of Kα1 and Kα2)).

Most intense lines, 10 to 90 degrees two-theta, low angle first:
- 28.9 deg, d 3.085, rel. 50.3
- 29.5 deg, d 3.030, rel. 52.2
- 30.1 deg, d 2.967, rel. 91.4
- 30.4 deg, d 2.938, rel. 100.0
- 41.8 deg, d 2.162, rel. 49.3
- 44.9 deg, d 2.021, rel. 24.0
- 52.4 deg, d 1.745, rel. 17.3
- 54.6 deg, d 1.681, rel. 24.1

Crystal structure
```
Ba6Y2Co4O15
1.0
8.084 0.000 0.000
0.000 6.061 0.000
-0.262 0.000 18.511
Ba Y Co O
12 4 8 30
direct
0.000 0.174 0.250 Ba
0.000 0.826 0.750 Ba
0.003 0.250 0.578 Ba
0.003 0.750 0.078 Ba
0.480 0.249 0.912 Ba
0.480 0.751 0.412 Ba
0.500 0.216 0.250 Ba
0.500 0.784 0.750 Ba
0.520 0.249 0.588 Ba
0.520 0.751 0.088 Ba
0.997 0.250 0.922 Ba
0.997 0.750 0.422 Ba
0.254 0.249 0.089 Y
0.254 0.751 0.589 Y
0.746 0.249 0.411 Y
0.746 0.751 0.911 Y
0.253 0.248 0.437 Co
0.253 0.752 0.937 Co
0.269 0.273 0.736 Co
0.269 0.727 0.236 Co
0.731 0.273 0.764 Co
0.731 0.727 0.264 Co
0.747 0.248 0.063 Co
0.747 0.752 0.563 Co
0.033 0.254 0.410 O
0.033 0.746 0.910 O
0.198 0.149 0.819 O
0.198 0.851 0.319 O
0.220 0.466 0.190 O
0.220 0.534 0.690 O
0.250 0.042 0.665 O
0.250 0.958 0.165 O
0.264 0.009 0.998 O
0.264 0.487 0.506 O
0.264 0.513 0.006 O
0.264 0.991 0.498 O
0.458 0.267 0.394 O
0.458 0.733 0.894 O
0.500 0.307 0.750 O
0.500 0.693 0.250 O
0.542 0.267 0.106 O
0.542 0.733 0.606 O
0.736 0.009 0.502 O
0.736 0.487 0.994 O
0.736 0.513 0.494 O
0.736 0.991 0.002 O
0.750 0.042 0.835 O
0.750 0.958 0.335 O
0.780 0.466 0.310 O
0.780 0.534 0.810 O
0.802 0.149 0.681 O
0.802 0.851 0.181 O
0.967 0.254 0.090 O
0.967 0.746 0.590 O
```

---

(3)
Structure and computed powder diffraction line list of Li6Fe5NiO12 (a cell relaxed with GGA+U; Cu Kα (weighted mean of Kα1 and Kα2)).

Most intense lines, 10 to 90 degrees two-theta, low angle first:
- 17.7 deg, d 5.021, rel. 100.0
- 35.7 deg, d 2.512, rel. 26.4
- 37.1 deg, d 2.425, rel. 18.0
- 42.3 deg, d 2.134, rel. 11.1
- 43.0 deg, d 2.102, rel. 20.8
- 46.4 deg, d 1.957, rel. 23.5
- 56.2 deg, d 1.637, rel. 13.2
- 63.1 deg, d 1.474, rel. 19.7

Crystal structure
```
Li6Fe5NiO12
1.0
2.554 -4.420 0.000
2.554 4.420 0.000
-1.492 0.000 10.042
Li Fe Ni O
6 5 1 12
direct
0.063 0.731 0.743 Li
0.269 0.937 0.257 Li
0.393 0.393 0.749 Li
0.607 0.607 0.251 Li
0.731 0.063 0.743 Li
0.937 0.269 0.257 Li
0.000 0.000 0.500 Fe
0.168 0.832 0.000 Fe
0.334 0.666 0.500 Fe
0.666 0.334 0.500 Fe
0.832 0.168 0.000 Fe
0.500 0.500 0.000 Ni
0.032 0.366 0.613 O
0.120 0.120 0.886 O
0.195 0.535 0.114 O
0.300 0.300 0.387 O
0.366 0.032 0.613 O
0.465 0.805 0.886 O
0.535 0.195 0.114 O
0.634 0.968 0.387 O
0.700 0.700 0.613 O
0.805 0.465 0.886 O
0.880 0.880 0.114 O
0.968 0.634 0.387 O
```

---

(4)
Structure and computed powder diffraction line list of MgMn6O8F4 (a cell relaxed with GGA+U; Cu Kα (weighted mean of Kα1 and Kα2)).

Most intense lines, 10 to 90 degrees two-theta, low angle first:
- 25.2 deg, d 3.536, rel. 89.4
- 26.0 deg, d 3.429, rel. 100.0
- 34.7 deg, d 2.587, rel. 53.4
- 35.0 deg, d 2.561, rel. 47.3
- 35.8 deg, d 2.507, rel. 22.3
- 51.4 deg, d 1.778, rel. 30.0
- 61.9 deg, d 1.499, rel. 23.5
- 62.6 deg, d 1.484, rel. 31.9

Crystal structure
```
MgMn6O8F4
1.0
5.672 0.000 0.000
-1.773 5.668 0.000
-0.746 -3.213 6.803
Mg Mn O F
1 6 8 4
direct
0.000 0.000 0.000 Mg
0.000 0.000 0.500 Mn
0.000 0.500 0.000 Mn
0.301 0.505 0.357 Mn
0.379 0.958 0.807 Mn
0.621 0.042 0.193 Mn
0.699 0.495 0.643 Mn
0.015 0.851 0.701 O
0.077 0.677 0.297 O
0.279 0.846 0.014 O
0.461 0.670 0.632 O
0.539 0.330 0.368 O
0.721 0.154 0.986 O
0.923 0.323 0.703 O
0.985 0.149 0.299 O
0.264 0.333 0.051 F
0.400 0.177 0.663 F
0.600 0.823 0.337 F
0.736 0.667 0.949 F
```